# 1
# Sm12Y5Tm2
Calculated powder diffractogram, Cu Kα (λ = 1.5418 Å). Input: a structure optimized by DFT (GGA-PBE).

Top 12 peaks for 2θ = 10–90°, by angle:
two_theta  I (rel.)  h k l
15.6  14.2  0 1 1
28.2  17.0  1 -1 3
30.4  41.6  1 -3 1
31.0  38.5  0 3 -2
31.3  80.9  2 1 0
31.4  63.5  -2 1 2
31.6  100.0  0 2 2
32.3  50.0  0 1 -4
32.9  30.6  2 -2 2
56.2  19.5  -2 3 4
57.5  13.5  0 1 6
61.9  15.5  1 -6 3

Structure:
Lattice parameters (Å, degrees): 6.8705 9.0470 11.0986 108.15 93.57 102.13
Space group P-1 (No. 2)
Symmetry-distinct sites (fractional):
Sm: 0.0120 0.1291 0.4215 x2
Sm: 0.0422 0.0780 0.8977 x2
Sm: 0.1309 0.7287 0.2772 x2
Sm: 0.3620 0.2490 0.2313 x2
Sm: 0.3746 0.3461 0.7080 x2
Sm: 0.4740 0.8823 0.1052 x2
Y: 0.1218 0.6829 0.8052 x2
Y: 0.2466 0.4668 0.0182 x2
Y: 0.5000 0.0000 0.5000 x1
Tm: 0.2626 0.5511 0.4924 x2



# 2
# Cs2CaRuI6
Calculated powder diffractogram, Cu Kα (λ = 1.5418 Å). Input: a structure optimized by DFT (GGA-PBE).

Top 12 peaks for 2θ = 10–90°, by angle:
two_theta  I (rel.)  h k l
13.1  12.9  1 1 1
21.4  9.5  2 2 0
26.3  100.0  2 2 2
30.4  91.9  4 0 0
43.6  65.0  4 4 0
51.6  41.8  6 2 2
54.1  21.9  4 4 4
63.4  9.9  8 0 0
69.8  15.5  6 6 2
71.9  26.2  8 4 0
80.1  18.9  8 4 4
86.0  11.2  10 2 2

Structure:
Lattice parameters (Å, degrees): 11.7430 11.7430 11.7430 90.00 90.00 90.00
Space group Fm-3m (No. 225)
Symmetry-distinct sites (fractional):
Cs: 0.2500 0.2500 0.2500 x8
Ca: 0.0000 0.0000 0.0000 x4
Ru: 0.0000 0.0000 0.5000 x4
I: 0.0000 0.0000 0.2659 x24



# 3
# CdFeGe
Calculated powder diffractogram, Cu Kα (λ = 1.5418 Å). Input: a structure optimized by DFT (GGA-PBE).

Top 12 peaks for 2θ = 10–90°, by angle:
two_theta  I (rel.)  h k l
22.6  24.5  0 1 0
29.2  43.9  0 1 1
32.6  16.5  1 0 0
37.2  41.7  0 0 2
37.7  12.5  1 0 1
44.3  100.0  1 1 1
46.0  22.3  0 2 0
50.3  9.7  1 0 2
60.6  18.8  0 2 2
72.1  22.0  1 1 3
80.4  8.1  2 0 2
84.1  14.5  1 3 1

Structure:
Lattice parameters (Å, degrees): 2.7480 3.9428 4.8319 90.00 90.00 90.00
Space group Pmmm (No. 47)
Symmetry-distinct sites (fractional):
Cd: 0.0000 0.0000 0.0000 x1
Fe: 0.5000 0.0000 0.5000 x1
Ge: 0.0000 0.5000 0.5000 x1



# 4
# TmMg2Zn9
Calculated powder diffractogram, Cu Kα (λ = 1.5418 Å). Input: a structure optimized by DFT (GGA-PBE).

Top 12 peaks for 2θ = 10–90°, by angle:
two_theta  I (rel.)  h k l
10.6  43.3  0 0 3
24.1  25.9  1 0 4
34.0  22.4  1 1 0
34.7  19.1  0 1 8
35.7  18.0  1 1 3
39.7  31.4  0 2 1
40.2  22.3  2 0 2
40.5  100.0  1 1 6
43.3  27.9  0 0 12
65.3  23.2  0 3 6
71.7  20.7  2 2 0
87.5  20.4  2 2 12

Structure:
Lattice parameters (Å, degrees): 5.2684 5.2684 25.1013 90.00 90.00 120.00
Space group R-3m (No. 166, hexagonal axes)
Symmetry-distinct sites (fractional):
Tm: 0.0000 0.0000 0.0000 x3
Mg: 0.0000 0.0000 0.1406 x6
Zn: 0.0000 0.0000 0.3336 x6
Zn: 0.0000 0.0000 0.5000 x3
Zn: 0.0050 0.5025 0.9153 x18